Record 1
For K4Ti3S14, a crystal structure in the Materials Project, relaxed with PBE gives the computed powder diffractogram in this record (Cu Ka).

Most intense lines, 5° ≤ 2θ ≤ 70°, most intense first:
2θ (°)	I/Imax
12.91	100
29.80	50
13.76	44
29.27	34
40.54	29
25.38	19
35.91	17
48.01	13

Structure:
```
K4Ti3S14
1.0
10.6523 -4.0532 0.0000
10.6523 4.0532 0.0000
-5.2081 0.0000 12.2033
K Ti S
8 6 28
Cartesian
4.3423 1.4391 4.7248
4.7098 2.1082 10.4054
8.7826 2.1082 7.8995
1.7382 -1.4391 10.8265
14.3582 1.4391 1.3768
7.3139 -2.1082 4.3038
11.3866 -2.1082 1.7979
11.7542 -1.4391 7.4785
6.6497 1.9880 1.0239
9.3503 1.9183 3.0508
12.0509 1.9880 5.0778
4.0456 -1.9880 7.1255
6.7462 -1.9183 9.1525
9.4468 -1.9880 11.1794
8.7486 3.3284 0.9898
7.1081 2.7491 3.5508
1.2594 1.7019 10.9542
1.0440 0.3768 4.8619
9.9519 3.3284 5.1119
-1.5601 -0.3768 10.9636
11.5924 2.7491 2.5508
7.7788 1.2591 4.8362
3.5206 0.1431 8.1163
6.1247 -0.1431 2.0146
10.9217 1.2591 1.2654
8.1410 0.1213 1.6016
5.5369 -0.1213 7.7033
3.8635 -1.7019 4.8526
12.2330 1.7019 7.3507
10.5596 0.1213 4.5000
7.9555 -0.1213 10.6017
5.1747 -1.2591 10.9379
9.9718 0.1431 10.1887
12.5759 -0.1431 4.0870
8.3177 -1.2591 7.3671
4.5041 -2.7491 9.6525
17.6566 0.3768 1.2397
6.1445 -3.3284 7.0914
15.0525 -0.3768 7.3414
14.8370 -1.7019 1.2491
8.9883 -2.7491 8.6525
7.3479 -3.3284 11.2135
```


Record 2
For KTlS2, a crystal structure in the Materials Project, relaxed with PBE gives the computed powder diffractogram in this record (Cu Ka).

Most intense lines, 5° ≤ 2θ ≤ 70°, most intense first:
2θ (°)	I/Imax
30.21	100
23.66	93
11.72	82
43.46	77
44.76	69
13.15	67
14.97	57
24.62	50

Structure:
```
KTlS2
1.0
5.7272 -5.7289 0.0000
5.7272 5.7289 0.0000
-2.8766 0.0000 15.1644
K Tl S
8 8 16
Cartesian
3.5635 3.5580 9.2944
0.7108 0.7046 13.3835
3.5761 3.5580 13.4522
2.1491 -0.7046 5.8013
6.4288 0.7046 9.3631
5.0018 -3.5580 1.7122
7.8671 -0.7046 1.7809
5.0144 -3.5580 5.8700
3.5764 3.5843 5.2142
3.5710 0.7159 2.3630
6.4397 3.5843 2.3680
2.1327 -0.7159 9.9452
6.4452 0.7159 5.2192
2.1381 -3.5843 12.7964
5.0069 -0.7159 12.8014
5.0014 -3.5843 9.9502
1.9884 2.1595 3.7810
5.0081 5.1737 3.7911
0.7179 0.7262 8.3666
5.0120 2.1455 0.8085
2.1562 -0.7262 0.7843
5.0041 2.1455 6.7737
3.5698 0.8654 11.3733
0.5501 -2.1595 11.3632
8.0277 2.1595 3.8012
5.0081 -0.8654 3.7911
3.5737 -2.1455 8.3907
6.4217 0.7262 14.3801
3.5658 -2.1455 14.3559
7.8600 -0.7262 6.7979
3.5698 -5.1737 11.3733
6.5894 -2.1595 11.3834
```


Record 3
For KV15S24, a crystal structure in the Materials Project, relaxed with PBE gives the computed powder diffractogram in this record (Cu Ka).

Most intense lines, 5° ≤ 2θ ≤ 70°, most intense first:
2θ (°)	I/Imax
14.62	100
38.21	100
15.01	58
12.97	52
20.84	50
35.68	40
47.15	34
43.48	32

Structure:
```
KV15S24
1.0
8.9657 0.0000 0.0000
1.4635 9.3692 0.0000
2.6675 4.3690 8.3329
K V S
1 15 24
Cartesian
0.0000 0.0000 0.0000
2.0655 6.8691 4.1664
3.0234 6.9224 6.6270
2.2163 4.7362 0.4469
3.6953 4.1807 4.0507
4.7132 8.9277 4.6282
5.6444 10.7511 6.6052
5.6609 5.7805 6.8122
4.5841 1.6733 2.6363
8.5126 12.0649 5.6966
7.4358 7.9576 1.5207
7.4523 2.9870 1.7276
8.3835 4.8104 3.7046
9.4014 9.5574 4.2822
10.8804 9.0019 7.8859
10.0734 6.8157 1.7059
0.6405 2.9755 0.6194
2.1462 8.6929 2.6908
1.6615 4.8755 2.8154
4.3815 11.2916 4.3724
3.4118 6.7104 0.5917
4.4436 6.4544 4.6809
5.4983 8.2086 6.7322
4.8116 3.6379 6.2639
4.1329 3.8649 1.7206
3.5275 1.2967 0.5296
5.5036 8.5871 2.5516
7.0842 10.2250 4.6773
6.0126 3.5131 3.6556
7.5931 5.1511 5.7812
9.5692 12.4414 7.8033
8.9639 9.8732 6.6123
8.2852 10.1002 2.0690
7.5984 5.5295 1.6007
8.6531 7.2837 3.6520
9.6849 7.0278 7.7412
8.7153 2.4465 3.9604
11.4352 8.8626 5.5175
10.9505 5.0452 5.6421
12.4562 10.7626 7.7135
```


Record 4
For KV5S8, a crystal structure in the Materials Project, relaxed with PBE gives the computed powder diffractogram in this record (Cu Ka).

Most intense lines, 5° ≤ 2θ ≤ 70°, most intense first:
2θ (°)	I/Imax
10.40	100
34.31	88
42.01	63
54.87	53
12.83	48
33.57	43
35.63	40
47.85	36

Structure:
```
KV5S8
1.0
8.7260 -1.6562 0.0000
8.7260 1.6562 0.0000
-2.1328 0.0000 8.5226
K V S
1 5 8
Cartesian
0.0000 0.0000 0.0000
1.5284 0.0000 4.1465
1.8487 0.0000 7.1034
7.6597 0.0000 4.2613
13.4706 0.0000 1.4193
13.7909 0.0000 4.3761
-0.1340 0.0000 5.6902
3.7957 0.0000 2.9807
5.8245 0.0000 0.0662
5.8091 0.0000 5.8250
9.5103 0.0000 2.6976
9.4948 0.0000 8.4564
11.5237 0.0000 5.5420
15.4534 0.0000 2.8325
```


Record 5
For KV5S8, a crystal structure in the Materials Project, relaxed with PBE gives the computed powder diffractogram in this record (Cu Ka).

Most intense lines, 5° ≤ 2θ ≤ 70°, most intense first:
2θ (°)	I/Imax
34.76	100
42.90	85
54.68	61
12.94	57
10.77	51
33.51	49
40.91	45
43.12	42

Structure:
```
KV5S8
1.0
8.8005 -1.6371 0.0000
8.8005 1.6371 0.0000
-2.1611 0.0000 8.2121
K V S
1 5 8
Cartesian
0.0000 0.0000 0.0000
1.5499 -0.1329 4.0492
1.8534 -0.1338 7.0496
7.7200 -0.1375 4.1061
13.5865 -0.1338 1.1625
13.8900 -0.1329 4.1630
-0.1441 -0.1381 5.5603
3.8239 -0.1351 2.7954
3.8082 -0.1309 8.2039
5.8279 -0.1268 5.6124
9.6121 -0.1268 2.5998
11.6317 -0.1309 0.0083
11.6161 -0.1351 5.4168
15.5840 -0.1381 2.6518
```


Record 6
For KV2S4, a crystal structure in the Materials Project, relaxed with PBE gives the computed powder diffractogram in this record (Cu Ka).

Most intense lines, 5° ≤ 2θ ≤ 70°, most intense first:
2θ (°)	I/Imax
11.39	100
36.32	48
35.56	22
31.39	15
54.05	14
49.35	10
44.07	9
53.64	9

Structure:
```
KV2S4
1.0
5.8676 0.0000 0.0000
0.0000 3.4178 0.0000
-1.6672 0.0000 7.7709
K V S
1 2 4
Cartesian
0.0000 0.0000 0.0000
1.3685 1.7089 3.8365
3.9872 0.0000 3.8055
0.2337 0.0000 5.0988
2.1839 0.0000 2.3396
3.1844 1.7089 5.2993
5.1271 1.7089 2.5454
```


Record 7
For KV6S8, a crystal structure in the Materials Project, relaxed with PBE gives the computed powder diffractogram in this record (Cu Ka).

Most intense lines, 5° ≤ 2θ ≤ 70°, most intense first:
2θ (°)	I/Imax
40.79	100
11.10	55
48.42	32
29.61	27
33.73	19
35.57	16
52.63	14
57.82	14

Structure:
```
KV6S8
1.0
3.2619 0.0000 0.0000
0.0006 9.1963 0.0000
0.0004 4.5977 7.9733
K V S
1 6 8
Cartesian
0.0000 0.0000 0.0000
0.8118 7.3856 4.9811
0.8121 9.8135 7.0515
0.8119 10.3901 3.9126
2.4511 3.4038 4.0607
2.4508 3.9804 0.9218
2.4511 6.4084 2.9922
0.8184 4.5979 2.6578
0.8267 7.5562 7.5708
0.8268 8.0651 2.7680
0.8271 11.9670 5.6081
2.4358 1.8269 2.3652
2.4362 5.7288 5.2053
2.4362 6.2377 0.4025
2.4445 9.1960 5.3155
```


Record 8
For K2Zn3S4, a crystal structure in the Materials Project, relaxed with PBE gives the computed powder diffractogram in this record (Cu Ka).

Most intense lines, 5° ≤ 2θ ≤ 70°, most intense first:
2θ (°)	I/Imax
12.87	100
30.05	55
33.07	41
31.58	33
40.30	27
31.03	24
34.87	20
30.33	18

Structure:
```
K2Zn3S4
1.0
13.7609 0.0000 0.0000
0.0000 10.0405 0.0000
0.0000 0.0000 6.2166
K Zn S
8 12 16
Cartesian
0.0000 0.0000 0.0000
0.0000 5.0202 0.0000
0.4820 2.5101 2.9684
6.3984 7.5304 6.0766
6.8805 0.0000 3.1083
6.8805 5.0202 3.1083
7.3625 2.5101 0.1399
13.2789 7.5304 3.2482
2.8495 7.5304 1.4644
3.3790 0.9897 1.0171
3.3790 4.0305 1.0171
3.5014 6.0100 4.1254
3.5014 9.0508 4.1254
4.0310 2.5101 4.5727
9.7300 7.5304 1.6439
10.2595 0.9897 2.0912
10.2595 4.0305 2.0912
10.3819 6.0100 5.1995
10.3819 9.0508 5.1995
10.9114 2.5101 4.7522
1.9923 2.5101 5.8724
2.0424 5.4121 2.3588
2.0424 9.6486 2.3588
2.2094 7.5304 5.4372
4.6711 2.5101 2.3289
4.8381 0.3918 5.4671
4.8381 4.6284 5.4671
4.8882 7.5304 2.7641
8.8727 2.5101 3.4524
8.9229 5.4121 0.7495
8.9229 9.6486 0.7495
9.0899 7.5304 3.8877
11.5515 2.5101 0.7794
11.7185 0.3918 3.8578
11.7185 4.6284 3.8578
11.7687 7.5304 0.3442
```


Number 1 is which compound? K4Ti3S14


Number 7 is which compound? KV6S8